Record 1
Structure and theoretical X-ray diffraction stick pattern of Ca16Al12Pd (a DFT-relaxed cell (GGA-PBE, Alexandria); Cu Kα (weighted mean of Kα1 and Kα2)).
Neutral-atom scattering factors, no anomalous dispersion.

Peak list (10 most intense, 10° ≤ 2θ ≤ 90°, low angle first)
2θ (°), d_spacing, I/Imax
30.03, 2.976, 44.7
30.69, 2.913, 71.3
31.23, 2.864, 81.4
33.20, 2.698, 78.7
33.54, 2.672, 85.2
34.02, 2.635, 59.1
34.45, 2.604, 90.7
34.59, 2.593, 100.0
37.63, 2.390, 84.6
58.33, 1.582, 40.1

Structural model:
```
Ca16Al12Pd
1.0
5.8384 -7.5842 0.0000
5.8384 7.5842 0.0000
-4.5037 0.0000 8.9275
Ca Al Pd
16 12 1
Direct
0.0000 0.0000 0.0000
0.0031 0.3410 0.5829
0.0026 0.3821 0.0076
0.3169 0.7161 0.7101
0.3410 0.0031 0.5829
0.3607 0.5923 0.0080
0.3685 0.3685 0.6193
0.3821 0.0026 0.0076
0.3934 0.6275 0.3709
0.5923 0.3607 0.0080
0.5978 0.9824 0.3438
0.6275 0.3934 0.3709
0.7148 0.7148 0.7150
0.7161 0.3169 0.7101
0.9607 0.9607 0.3432
0.9824 0.5978 0.3438
0.0400 0.8543 0.6699
0.0481 0.6666 0.8552
0.1202 0.3047 0.3051
0.1829 0.1829 0.8086
0.1857 0.7978 0.1815
0.3000 0.3000 0.1230
0.3047 0.1202 0.3051
0.6610 0.8557 0.0211
0.6666 0.0481 0.8552
0.7978 0.1857 0.1815
0.8543 0.0400 0.6699
0.8557 0.6610 0.0211
0.7644 0.7644 0.4539
```

=====

Record 2
Structure and theoretical X-ray diffraction stick pattern of Mg6NbSiO8 (a DFT-relaxed cell (GGA-PBE, Alexandria); Cu Kα (weighted mean of Kα1 and Kα2)).
Neutral-atom scattering factors, no anomalous dispersion.

Peak list (10 most intense, 10° ≤ 2θ ≤ 90°, low angle first)
2θ (°), d_spacing, I/Imax
10.03, 8.821, 36.0
20.43, 4.347, 21.6
22.81, 3.899, 24.9
28.84, 3.096, 18.0
35.60, 2.522, 40.3
40.93, 2.205, 52.2
41.55, 2.173, 100.0
59.74, 1.548, 59.8
60.22, 1.537, 29.2
75.39, 1.261, 27.8

Structural model:
```
Mg6NbSiO8
1.0
4.3468 0.0000 0.0000
0.0000 4.3468 0.0000
0.0000 0.0000 8.8207
Mg Nb Si O
6 1 1 8
Direct
0.0000 0.0000 0.0000
0.0000 0.0000 0.5000
0.0000 0.5000 0.2477
0.0000 0.5000 0.7523
0.5000 0.0000 0.2477
0.5000 0.0000 0.7523
0.5000 0.5000 0.5000
0.5000 0.5000 0.0000
0.0000 0.0000 0.2504
0.0000 0.0000 0.7496
0.0000 0.5000 0.0000
0.0000 0.5000 0.5000
0.5000 0.0000 0.0000
0.5000 0.0000 0.5000
0.5000 0.5000 0.2412
0.5000 0.5000 0.7588
```